No. 1
Diffraction record for Ho2ZnTe2S2O14. The powder XRD pattern is theoretical, not measured: it uses the GGA-PBE geometry in Alexandria and CuKα.
Neutral-atom scattering factors, no anomalous dispersion.

Cell and atoms:
```
Ho2ZnTe2S2O14
1.0
5.295 0.000 0.000
0.617 7.871 0.000
2.300 3.405 7.052
Ho Zn Te S O
2 1 2 2 14
direct
0.080 0.253 0.017
0.920 0.747 0.983
0.000 0.000 0.500
0.481 0.727 0.663
0.519 0.273 0.337
0.242 0.755 0.247
0.758 0.245 0.753
0.107 0.595 0.251
0.143 0.770 0.429
0.178 0.926 0.087
0.244 0.561 0.896
0.248 0.925 0.670
0.278 0.196 0.246
0.470 0.269 0.790
0.530 0.731 0.210
0.722 0.804 0.754
0.752 0.075 0.330
0.756 0.439 0.104
0.822 0.074 0.913
0.857 0.230 0.571
0.893 0.405 0.749
```

Peak list (10 most intense, 5 to 70 degrees two-theta, by angle)
d/Å, intensity
6.650, 67
3.670, 83
3.617, 78
3.544, 100
3.364, 48
3.259, 40
2.970, 70
2.954, 37
2.581, 39
2.533, 39

=====

No. 2
Diffraction record for HoSb2O6. The powder XRD pattern is theoretical, not measured: it uses the GGA-PBE geometry in Alexandria and CuKα.
Neutral-atom scattering factors, no anomalous dispersion.

Cell and atoms:
```
HoSb2O6
1.0
7.903 0.000 0.000
0.000 5.803 0.000
0.000 0.000 5.430
Ho Sb O
2 4 12
direct
0.000 0.167 0.000
0.500 0.833 0.500
0.248 0.733 0.979
0.252 0.267 0.479
0.748 0.267 0.479
0.752 0.733 0.979
0.000 0.278 0.604
0.000 0.787 0.891
0.188 0.434 0.156
0.204 0.977 0.253
0.296 0.023 0.753
0.312 0.566 0.656
0.500 0.213 0.391
0.500 0.722 0.104
0.688 0.566 0.656
0.704 0.023 0.753
0.796 0.977 0.253
0.812 0.434 0.156
```

Peak list (10 most intense, 5 to 70 degrees two-theta, by angle)
d/Å, intensity
4.677, 30
4.476, 40
3.962, 21
2.901, 19
2.799, 100
2.715, 24
1.982, 20
1.976, 15
1.598, 12
1.583, 25

=====

No. 3
Diffraction record for Ho2Sb2O7. The powder XRD pattern is theoretical, not measured: it uses the GGA-PBE geometry in Alexandria and CuKα.
Neutral-atom scattering factors, no anomalous dispersion.

Cell and atoms:
```
Ho2Sb2O7
1.0
-3.846 5.326 3.692
3.846 -5.326 3.692
3.846 5.326 -3.692
Ho Sb O
4 4 14
direct
0.000 0.000 0.000
0.500 0.000 0.000
0.500 0.000 0.500
0.500 0.500 0.500
0.000 0.000 0.500
0.000 0.500 0.000
0.000 0.500 0.500
0.500 0.500 0.000
0.021 0.271 0.750
0.075 0.192 0.364
0.075 0.710 0.883
0.328 0.192 0.617
0.328 0.710 0.136
0.368 0.749 0.619
0.370 0.251 0.119
0.630 0.749 0.881
0.632 0.251 0.381
0.672 0.290 0.864
0.672 0.808 0.383
0.925 0.290 0.117
0.925 0.808 0.636
0.979 0.729 0.250
```

Peak list (10 most intense, 5 to 70 degrees two-theta, by angle)
d/Å, intensity
3.118, 96
3.034, 100
2.663, 68
1.923, 18
1.883, 59
1.846, 14
1.624, 31
1.612, 14
1.600, 15
1.588, 27

=====

No. 4
Diffraction record for Ho8Sb3O8. The powder XRD pattern is theoretical, not measured: it uses the GGA-PBE geometry in Alexandria and CuKα.
Neutral-atom scattering factors, no anomalous dispersion.

Cell and atoms:
```
Ho8Sb3O8
1.0
6.627 -1.868 0.000
6.627 1.868 0.000
-4.323 0.000 14.411
Ho Sb O
8 3 8
direct
0.046 0.046 0.335
0.143 0.143 0.933
0.220 0.219 0.589
0.378 0.379 0.847
0.621 0.622 0.153
0.781 0.780 0.411
0.857 0.857 0.067
0.954 0.954 0.665
0.329 0.330 0.233
0.501 0.499 0.500
0.670 0.671 0.767
0.030 0.030 0.125
0.204 0.204 0.435
0.333 0.333 0.984
0.383 0.383 0.702
0.617 0.617 0.298
0.667 0.667 0.016
0.796 0.796 0.565
0.970 0.970 0.875
```

Peak list (10 most intense, 5 to 70 degrees two-theta, by angle)
d/Å, intensity
2.964, 58
2.928, 55
2.796, 100
2.767, 88
2.108, 18
1.868, 20
1.684, 19
1.670, 22
1.581, 18
1.575, 17

=====

No. 5
Diffraction record for SmHoSb2O8. The powder XRD pattern is theoretical, not measured: it uses the GGA-PBE geometry in Alexandria and CuKα.
Neutral-atom scattering factors, no anomalous dispersion.

Cell and atoms:
```
SmHoSb2O8
1.0
-2.646 2.646 5.652
2.646 -2.646 5.652
2.646 2.646 -5.652
Sm Ho Sb O
1 1 2 8
direct
0.000 0.000 0.000
0.250 0.750 0.500
0.500 0.500 0.000
0.750 0.250 0.500
0.021 0.085 0.432
0.234 0.663 0.078
0.337 0.414 0.571
0.410 0.979 0.063
0.586 0.156 0.922
0.653 0.590 0.568
0.844 0.766 0.429
0.915 0.347 0.937
```

Peak list (10 most intense, 5 to 70 degrees two-theta, by angle)
d/Å, intensity
4.793, 2
3.120, 100
2.826, 14
2.646, 21
1.932, 31
1.871, 15
1.683, 16
1.605, 28
1.560, 11
1.413, 2

=====

No. 6
Diffraction record for YHo2SbO8. The powder XRD pattern is theoretical, not measured: it uses the GGA-PBE geometry in Alexandria and CuKα.
Neutral-atom scattering factors, no anomalous dispersion.

Cell and atoms:
```
YHo2SbO8
1.0
4.014 0.000 0.000
-0.398 5.226 0.000
-0.013 -0.002 7.330
Y Ho Sb O
1 2 1 8
direct
0.000 0.000 0.000
0.500 0.500 0.252
0.500 0.500 0.748
0.000 0.000 0.500
0.042 0.757 0.719
0.042 0.758 0.281
0.436 0.220 0.500
0.493 0.251 0.000
0.507 0.749 0.000
0.564 0.780 0.500
0.958 0.242 0.719
0.958 0.243 0.281
```

Peak list (10 most intense, 5 to 70 degrees two-theta, by angle)
d/Å, intensity
3.301, 62
3.067, 52
3.001, 100
2.703, 44
2.613, 19
2.001, 22
1.929, 41
1.832, 50
1.699, 19
1.573, 28

=====

No. 7
Diffraction record for HoSc3O6. The powder XRD pattern is theoretical, not measured: it uses the GGA-PBE geometry in Alexandria and CuKα.
Neutral-atom scattering factors, no anomalous dispersion.

Cell and atoms:
```
HoSc3O6
1.0
8.717 0.000 0.000
0.000 3.202 0.000
-2.740 0.000 8.405
Ho Sc O
2 6 12
direct
0.056 0.250 0.194
0.944 0.750 0.806
0.167 0.250 0.591
0.322 0.750 0.991
0.450 0.250 0.331
0.550 0.750 0.669
0.678 0.250 0.009
0.833 0.750 0.409
0.076 0.750 0.407
0.116 0.250 0.956
0.204 0.750 0.743
0.276 0.750 0.229
0.398 0.250 0.560
0.464 0.250 0.102
0.536 0.750 0.898
0.602 0.750 0.440
0.724 0.250 0.771
0.796 0.250 0.257
0.884 0.750 0.044
0.924 0.250 0.593
```

Peak list (10 most intense, 5 to 70 degrees two-theta, by angle)
d/Å, intensity
8.288, 100
7.104, 32
3.353, 28
2.991, 45
2.946, 47
2.919, 27
2.905, 51
2.576, 48
2.308, 48
2.092, 31